Computed XRD peak list
Compound: AgH12C4S5N
Radiation: Cu Kα X-rays
Structure: a PBE-relaxed structure

Structural model:
```
data_AgH12C4S5N
_symmetry_space_group_name_H-M 'C 1 c 1'
_symmetry_Int_Tables_number 9
_cell_length_a 11.0921
_cell_length_b 18.9462
_cell_length_c 7.4488
_cell_angle_alpha 90.00
_cell_angle_beta 123.96
_cell_angle_gamma 90.00
loop_
_symmetry_equiv_pos_as_xyz
'x,y,z'
'x,-y,z+1/2'
'x+1/2,y+1/2,z'
'x+1/2,-y+1/2,z+1/2'
loop_
_atom_site_label
_atom_site_type_symbol
_atom_site_fract_x
_atom_site_fract_y
_atom_site_fract_z
Ag1 Ag 0.0000 0.0225 0.0000
H1 H 0.0082 0.2725 0.0691
H2 H 0.0409 0.3584 0.1894
H3 H 0.0515 0.2520 0.7854
H4 H 0.1095 0.3237 0.6940
H5 H 0.1236 0.4545 0.0645
H6 H 0.1471 0.4388 0.8488
H7 H 0.2516 0.2716 0.1483
H8 H 0.2846 0.3575 0.2733
H9 H 0.3145 0.3432 0.0624
H10 H 0.3875 0.1553 0.4154
H11 H 0.4269 0.1764 0.1312
H12 H 0.4662 0.0611 0.2937
C1 C 0.0000 0.3294 0.0385
C2 C 0.0405 0.3088 0.7503
C3 C 0.0811 0.4261 0.9122
C4 C 0.2477 0.3288 0.1232
S1 S 0.1554 0.1528 0.5340
S2 S 0.1575 0.1167 0.9883
S3 S 0.1994 0.0789 0.7685
S4 S 0.3628 0.4416 0.6653
S5 S 0.4323 0.3428 0.8047
N1 N 0.0925 0.3483 0.9564
```

Main lines, in order of falling intensity (2θ = 5–70°):
2θ/deg, I_rel
10.69, 1000
9.34, 305
23.67, 136
17.03, 129
18.89, 124
30.73, 120



Computed XRD peak list
Compound: La11Zn9Ni4
Radiation: Cu Kα X-rays
Structure: a PBE-relaxed structure

Structural model:
```
data_La11Zn9Ni4
_symmetry_space_group_name_H-M 'C m m m'
_symmetry_Int_Tables_number 65
_symmetry_space_group_name_Hall '-C 2 2'
_cell_length_a 14.3489
_cell_length_b 21.6097
_cell_length_c 3.7651
_cell_angle_alpha 90.00
_cell_angle_beta 90.00
_cell_angle_gamma 90.00
loop_
_atom_site_label
_atom_site_type_symbol
_atom_site_fract_x
_atom_site_fract_y
_atom_site_fract_z
La1 La 0.0000 0.0000 0.0000
La2 La 0.0000 0.1683 0.0000
La3 La 0.0000 0.3745 0.0000
La4 La 0.1939 0.5000 0.0000
La5 La 0.2417 0.1717 0.0000
Zn1 Zn 0.0000 0.5000 0.5000
Zn2 Zn 0.0993 0.2691 0.5000
Zn3 Zn 0.1483 0.0692 0.5000
Ni1 Ni 0.1542 0.3978 0.5000
```

Main lines, in order of falling intensity (2θ = 5–70°):
2θ/deg, I_rel
34.50, 1000
35.31, 349
36.79, 209
48.35, 164
38.52, 150
61.28, 146



Computed XRD peak list
Compound: Sm3Ho7Tm
Radiation: Cu Kα X-rays
Structure: a PBE-relaxed structure

Structural model:
```
data_Sm3Ho7Tm
_symmetry_space_group_name_H-M 'P 1 2/m 1'
_symmetry_Int_Tables_number 10
_cell_length_a 6.9079
_cell_length_b 5.4945
_cell_length_c 9.9242
_cell_angle_alpha 90.00
_cell_angle_beta 109.01
_cell_angle_gamma 90.00
loop_
_symmetry_equiv_pos_as_xyz
'x,y,z'
'-x,-y,-z'
'-x,y,-z'
'x,-y,z'
loop_
_atom_site_label
_atom_site_type_symbol
_atom_site_fract_x
_atom_site_fract_y
_atom_site_fract_z
Sm1 Sm 0.0000 0.0000 0.0000
Sm2 Sm 0.2792 0.5000 0.4943
Ho1 Ho 0.0000 0.0000 0.5000
Ho2 Ho 0.1508 0.5000 0.7893
Ho3 Ho 0.3201 0.5000 0.1364
Ho4 Ho 0.4273 0.0000 0.3292
Tm1 Tm 0.5000 0.0000 0.0000
```

Main lines, in order of falling intensity (2θ = 5–70°):
2θ/deg, I_rel
31.87, 1000
32.59, 669
32.95, 519
32.25, 437
31.41, 217
57.72, 199



Computed XRD peak list
Compound: KCu2SbI6
Radiation: Cu Kα X-rays
Structure: a PBE-relaxed structure

Structural model:
```
data_KCu2SbI6
_symmetry_space_group_name_H-M 'C 1 2/c 1'
_symmetry_Int_Tables_number 15
_cell_length_a 14.1268
_cell_length_b 14.1983
_cell_length_c 7.7776
_cell_angle_alpha 90.00
_cell_angle_beta 97.42
_cell_angle_gamma 90.00
loop_
_symmetry_equiv_pos_as_xyz
'x,y,z'
'-x,-y,-z'
'-x,y,-z+1/2'
'x,-y,z+1/2'
'x+1/2,y+1/2,z'
'-x+1/2,-y+1/2,-z'
'-x+1/2,y+1/2,-z+1/2'
'x+1/2,-y+1/2,z+1/2'
loop_
_atom_site_label
_atom_site_type_symbol
_atom_site_fract_x
_atom_site_fract_y
_atom_site_fract_z
K1 K 0.0000 0.0843 0.2500
Cu1 Cu 0.1747 0.4190 0.2952
Sb1 Sb 0.0000 0.2777 0.7500
I1 I 0.1199 0.2744 0.1035
I2 I 0.1337 0.1147 0.6553
I3 I 0.1386 0.4250 0.6187
```

Main lines, in order of falling intensity (2θ = 5–70°):
2θ/deg, I_rel
28.24, 1000
23.36, 827
40.42, 694
39.69, 686
27.81, 588
25.43, 505



Computed XRD peak list
Compound: Sr10Bi3Sb3
Radiation: Cu Kα X-rays
Structure: a PBE-relaxed structure

Structural model:
```
data_Sr10Bi3Sb3
_symmetry_space_group_name_H-M 'P -6 2 m'
_symmetry_Int_Tables_number 189
_symmetry_space_group_name_Hall 'P -6 -2'
_cell_length_a 9.6790
_cell_length_b 9.6790
_cell_length_c 7.5083
_cell_angle_alpha 90.00
_cell_angle_beta 90.00
_cell_angle_gamma 120.00
loop_
_atom_site_label
_atom_site_type_symbol
_atom_site_fract_x
_atom_site_fract_y
_atom_site_fract_z
Sr1 Sr 0.0000 0.2520 0.0000
Sr2 Sr 0.0000 0.7469 0.5000
Sr3 Sr 0.3333 0.6667 0.2529
Bi1 Bi 0.0000 0.6091 0.0000
Sb1 Sb 0.0000 0.3900 0.5000
```

Main lines, in order of falling intensity (2θ = 5–70°):
2θ/deg, I_rel
30.63, 1000
30.13, 922
32.03, 718
40.62, 407
23.70, 377
46.23, 321



Computed XRD peak list
Compound: AcLa5Nd5
Radiation: Cu Kα X-rays
Structure: a PBE-relaxed structure

Structural model:
```
data_AcLa5Nd5
_symmetry_space_group_name_H-M 'P 1'
_symmetry_Int_Tables_number 1
_cell_length_a 6.2881
_cell_length_b 6.9833
_cell_length_c 10.4273
_cell_angle_alpha 91.13
_cell_angle_beta 90.86
_cell_angle_gamma 116.06
loop_
_symmetry_equiv_pos_as_xyz
'x,y,z'
loop_
_atom_site_label
_atom_site_type_symbol
_atom_site_fract_x
_atom_site_fract_y
_atom_site_fract_z
Ac1 Ac 0.0000 0.0000 0.0000
La1 La 0.3304 0.5809 0.8998
La2 La 0.4390 0.7273 0.5496
La3 La 0.4974 0.8748 0.2041
La4 La 0.5045 0.1301 0.7971
La5 La 0.6658 0.4208 0.1021
Nd1 Nd 0.0206 0.1870 0.6297
Nd2 Nd 0.0959 0.3504 0.2915
Nd3 Nd 0.5614 0.2747 0.4511
Nd4 Nd 0.9030 0.6511 0.7079
Nd5 Nd 0.9795 0.8149 0.3699
```

Main lines, in order of falling intensity (2θ = 5–70°):
2θ/deg, I_rel
30.29, 1000
30.00, 595
30.57, 484
30.77, 435
28.39, 372
53.47, 288



Computed XRD peak list
Compound: Na4CaHg2
Radiation: Cu Kα X-rays
Structure: a PBE-relaxed structure

Structural model:
```
data_Na4CaHg2
_symmetry_space_group_name_H-M 'C m m m'
_symmetry_Int_Tables_number 65
_symmetry_space_group_name_Hall '-C 2 2'
_cell_length_a 4.3169
_cell_length_b 20.3129
_cell_length_c 4.8757
_cell_angle_alpha 90.00
_cell_angle_beta 90.00
_cell_angle_gamma 90.00
loop_
_atom_site_label
_atom_site_type_symbol
_atom_site_fract_x
_atom_site_fract_y
_atom_site_fract_z
Na1 Na 0.0000 0.1679 0.0000
Na2 Na 0.0000 0.3199 0.5000
Ca1 Ca 0.0000 0.5000 0.0000
Hg1 Hg 0.0000 0.0710 0.5000
```

Main lines, in order of falling intensity (2θ = 5–70°):
2θ/deg, I_rel
8.71, 1000
27.95, 685
21.04, 537
18.19, 460
41.84, 398
32.19, 309



Computed XRD peak list
Compound: BPI3Br3
Radiation: Cu Kα X-rays
Structure: a PBE-relaxed structure

Structural model:
```
data_BPI3Br3
_symmetry_space_group_name_H-M 'P n m a'
_symmetry_Int_Tables_number 62
_cell_length_a 13.6466
_cell_length_b 12.2691
_cell_length_c 8.0604
_cell_angle_alpha 90.00
_cell_angle_beta 90.00
_cell_angle_gamma 90.00
loop_
_symmetry_equiv_pos_as_xyz
'x,y,z'
'-x,-y,-z'
'-x+1/2,-y,z+1/2'
'x+1/2,y,-z+1/2'
'x+1/2,-y+1/2,-z+1/2'
'-x+1/2,y+1/2,z+1/2'
'-x,y+1/2,-z'
'x,-y+1/2,z'
loop_
_atom_site_label
_atom_site_type_symbol
_atom_site_fract_x
_atom_site_fract_y
_atom_site_fract_z
B1 B 0.1508 0.2500 0.2229
P1 P 0.1763 0.2500 0.9740
I1 I 0.0237 0.2500 0.8172
I2 I 0.2305 0.5901 0.3866
Br1 Br 0.0724 0.1144 0.2660
Br2 Br 0.2171 0.7500 0.8260
```

Main lines, in order of falling intensity (2θ = 5–70°):
2θ/deg, I_rel
27.74, 1000
23.01, 554
14.66, 253
25.28, 237
31.44, 231
27.13, 210



Computed XRD peak list
Compound: CsTe2SeO8
Radiation: Cu Kα X-rays
Structure: a PBE-relaxed structure

Structural model:
```
data_CsTe2SeO8
_symmetry_space_group_name_H-M 'C 1 2/m 1'
_symmetry_Int_Tables_number 12
_cell_length_a 11.8695
_cell_length_b 5.5622
_cell_length_c 8.1168
_cell_angle_alpha 90.00
_cell_angle_beta 114.98
_cell_angle_gamma 90.00
loop_
_symmetry_equiv_pos_as_xyz
'x,y,z'
'-x,-y,-z'
'-x,y,-z'
'x,-y,z'
'x+1/2,y+1/2,z'
'-x+1/2,-y+1/2,-z'
'-x+1/2,y+1/2,-z'
'x+1/2,-y+1/2,z'
loop_
_atom_site_label
_atom_site_type_symbol
_atom_site_fract_x
_atom_site_fract_y
_atom_site_fract_z
Cs1 Cs 0.0000 0.0000 0.0000
Te1 Te 0.2009 0.0000 0.6451
Se1 Se 0.0000 0.5000 0.5000
O1 O 0.1044 0.2535 0.6786
O2 O 0.1480 0.5000 0.1622
O3 O 0.1932 0.0000 0.4153
```

Main lines, in order of falling intensity (2θ = 5–70°):
2θ/deg, I_rel
27.72, 1000
23.56, 752
22.81, 713
24.27, 348
12.03, 342
32.19, 313